The following is a computed powder diffraction line list of PuCr2CuO8. It was derived from the GGA+U geometry in Alexandria, using copper Kα.
No peak broadening, texture or thermal motion is included.

Cell and atoms:
```
data_PuCr2CuO8
_chemical_formula_sum 'Pu1 Cr2 Cu1 O8'
_symmetry_space_group_name_H-M 'P 1 2/m 1'
_symmetry_Int_Tables_number 10
_symmetry_space_group_name_Hall '-P 2y'
_cell_length_a 4.727
_cell_length_b 6.078
_cell_length_c 4.732
_cell_angle_alpha 90.00
_cell_angle_beta 90.06
_cell_angle_gamma 90.00
loop_
_atom_site_label
_atom_site_type_symbol
_atom_site_fract_x
_atom_site_fract_y
_atom_site_fract_z
Pu1 Pu 0.000 0.000 0.000
Cr1 Cr 0.500 0.260 0.500
Cu1 Cu 0.000 0.500 0.000
O1 O 0.203 0.249 0.201
O2 O 0.311 0.000 0.688
O3 O 0.312 0.500 0.687
```

Peak list (6 most intense, 10 to 90 degrees two-theta, in order of rising 2θ)
index, d/Å, I/Imax
0 1 0, 6.078, 26
1 0 0, 4.729, 42
1 1 0, 3.732, 41
1 0 -1, 3.344, 100
1 2 0, 2.557, 71
2 2 -1, 1.736, 63